ZnIr: theoretical XRD peak list (Cu Ka), based on the PBE geometry in OQMD.
Kinematic intensities with the Lorentz-polarization factor, no thermal factor.

Cell and atoms:
```
ZnIr
1.0
4.360 0.000 0.000
0.000 8.770 0.000
0.000 0.000 4.469
Zn Ir
6 6
Cartesian
0.000 0.700 0.000
0.000 8.070 2.234
2.180 0.709 2.103
2.180 3.607 2.071
2.180 5.163 4.305
2.180 8.061 4.338
0.000 2.143 2.235
0.000 3.746 4.462
0.000 5.024 2.228
0.000 6.627 0.000
2.180 2.144 4.339
2.180 6.626 2.104
```

Main lines, most intense first (5° ≤ 2θ ≤ 70°):
| hkl | d_spacing | 2θ/deg | intensity |
| --- | --- | --- | --- |
| 1 3 1 | 2.134 | 42.36 | 100 |
| 0 0 2 | 2.234 | 40.37 | 28 |
| 2 0 0 | 2.180 | 41.41 | 27 |
| 2 0 2 | 1.560 | 59.21 | 18 |
| 1 1 1 | 2.940 | 30.40 | 14 |
| 0 1 0 | 8.770 | 10.09 | 10 |
| 0 6 0 | 1.462 | 63.67 | 8 |
| 0 2 0 | 4.385 | 20.25 | 6 |
| 1 1 0 | 3.904 | 22.78 | 5 |
| 1 0 2 | 1.989 | 45.60 | 4 |

=====

ZrIr: theoretical XRD peak list (Cu Ka), based on the PBE geometry in OQMD.
Kinematic intensities with the Lorentz-polarization factor, no thermal factor.

Cell and atoms:
```
ZrIr
1.0
7.065 0.000 0.000
0.000 13.277 0.000
0.000 0.000 4.726
Zr Ir
12 12
Cartesian
0.492 2.299 1.182
0.492 4.339 3.545
2.251 7.916 1.182
2.251 11.999 3.545
2.755 2.080 3.545
2.755 4.558 1.182
4.311 8.718 3.545
4.311 11.197 1.182
4.814 1.278 1.182
4.814 5.361 3.545
6.573 8.938 1.182
6.573 10.978 3.545
0.457 0.778 3.545
0.457 5.860 1.182
1.696 9.202 3.545
1.696 10.713 1.182
2.373 0.344 1.182
2.373 6.294 3.545
4.693 6.983 1.182
4.693 12.933 3.545
5.370 2.564 3.545
5.370 4.075 1.182
6.608 7.417 3.545
6.608 12.499 1.182
```

Main lines, most intense first (5° ≤ 2θ ≤ 70°):
| hkl | d_spacing | 2θ/deg | intensity |
| --- | --- | --- | --- |
| 0 0 2 | 2.363 | 38.08 | 100 |
| 1 4 1 | 2.535 | 35.40 | 96 |
| 2 3 1 | 2.384 | 37.73 | 95 |
| 2 4 1 | 2.153 | 41.96 | 87 |
| 1 5 1 | 2.200 | 41.03 | 78 |
| 3 1 0 | 2.319 | 38.84 | 43 |
| 3 1 2 | 1.655 | 55.52 | 30 |
| 0 2 0 | 6.638 | 13.34 | 24 |
| 1 3 0 | 3.751 | 23.72 | 23 |
| 1 1 0 | 6.237 | 14.20 | 22 |

=====

Zr4Ir3: theoretical XRD peak list (Cu Ka), based on the PBE geometry in OQMD.
Kinematic intensities with the Lorentz-polarization factor, no thermal factor.

Cell and atoms:
```
Zr4Ir3
1.0
8.097 0.000 0.000
-4.049 7.013 0.000
0.000 0.000 4.706
Zr Ir
8 6
Cartesian
-2.995 5.264 1.176
0.987 1.787 1.176
2.041 0.039 3.529
0.000 4.675 1.176
4.049 2.338 3.529
2.007 6.974 1.176
3.062 5.225 3.529
7.043 1.748 3.529
-1.703 4.441 3.529
1.054 3.318 3.529
3.400 0.746 1.176
0.648 6.267 3.529
2.994 3.695 1.176
5.751 2.572 1.176
```

Main lines, most intense first (5° ≤ 2θ ≤ 70°):
| hkl | d_spacing | 2θ/deg | intensity |
| --- | --- | --- | --- |
| 1 2 1 | 2.309 | 39.00 | 100 |
| 1 2 0 | 2.651 | 33.82 | 28 |
| 0 0 2 | 2.353 | 38.25 | 27 |
| 1 0 0 | 7.013 | 12.62 | 19 |
| 1 2 3 | 1.350 | 69.66 | 18 |
| 1 2 2 | 1.760 | 51.97 | 17 |
| 4 1 0 | 1.530 | 60.50 | 15 |
| 1 0 1 | 3.907 | 22.76 | 14 |
| 2 2 1 | 1.860 | 48.98 | 9 |
| 1 3 0 | 1.945 | 46.70 | 6 |

=====

K2LaNb5O15: theoretical XRD peak list (Cu Ka), based on the PBE geometry in OQMD.
Kinematic intensities with the Lorentz-polarization factor, no thermal factor.

Cell and atoms:
```
K2LaNb5O15
1.0
12.656 0.000 0.000
0.000 12.656 0.000
0.000 0.000 3.941
K La Nb O
4 2 10 30
Cartesian
2.157 4.171 0.000
4.171 10.500 0.000
8.485 2.157 0.000
10.500 8.485 0.000
0.000 0.000 0.000
6.328 6.328 0.000
0.000 6.328 1.971
0.973 9.949 1.971
2.708 0.973 1.971
3.621 7.302 1.971
5.355 3.621 1.971
6.328 0.000 1.971
7.302 9.036 1.971
9.036 5.355 1.971
9.949 11.683 1.971
11.683 2.708 1.971
0.000 6.328 0.000
0.035 4.333 1.971
0.766 1.685 1.971
1.003 10.219 0.000
1.685 11.890 1.971
1.995 6.293 1.971
2.437 1.003 0.000
2.759 9.088 1.971
3.569 2.759 1.971
3.891 7.331 0.000
4.333 12.621 1.971
4.643 5.562 1.971
5.325 3.891 0.000
5.562 8.013 1.971
6.293 10.661 1.971
6.328 0.000 0.000
6.363 1.995 1.971
7.095 4.643 1.971
7.331 8.766 0.000
8.013 7.095 1.971
8.323 0.035 1.971
8.766 5.325 0.000
9.088 9.897 1.971
9.897 3.569 1.971
10.219 11.653 0.000
10.661 6.363 1.971
10.972 0.766 1.971
11.653 2.437 0.000
11.890 10.972 1.971
12.621 8.323 1.971
```

Main lines, most intense first (5° ≤ 2θ ≤ 70°):
| hkl | d_spacing | 2θ/deg | intensity |
| --- | --- | --- | --- |
| 3 1 1 | 2.808 | 31.87 | 100 |
| 4 1 0 | 3.070 | 29.09 | 54 |
| 4 2 0 | 2.830 | 31.61 | 50 |
| 5 5 1 | 1.630 | 56.46 | 48 |
| 3 2 0 | 3.510 | 25.37 | 47 |
| 1 1 0 | 8.949 | 9.88 | 39 |
| 2 1 1 | 3.234 | 27.58 | 38 |
| 2 0 0 | 6.328 | 13.99 | 35 |
| 0 0 1 | 3.941 | 22.56 | 35 |
| 0 0 2 | 1.971 | 46.06 | 35 |